This entry pairs a crystal structure of CaAc2NdSm with its simulated X-ray powder pattern. Radiation: Cu Kα. Structure: a cell relaxed with PBE.
Lines closer than 0.1° are merged.

Most intense lines, 2θ from 10° to 90°, in order of rising 2θ:
d/Å  2θ/deg  Rel. int.  index
4.695  18.90  54  0 1 1
4.202  21.14  18  1 1 -1
3.326  26.80  100  2 1 1
3.282  27.17  26  0 0 2
3.164  28.21  31  1 2 0
3.143  28.40  35  3 0 0
2.949  30.31  20  0 1 2
2.814  31.79  21  1 1 2
2.735  32.74  40  2 2 0
2.611  34.34  23  3 1 -1
2.347  38.35  23  0 2 2
1.903  47.79  21  2 1 3

a b c (Å): 9.4276 6.7168 6.5644
angles (deg): 90.00 90.10 90.00
Space group P2/c (No. 13)
Unique sites:
Ca 0.0000 0.2126 0.2500 x2
Ac 0.2031 0.2794 0.7505 x4
Nd 0.5000 0.0000 0.0000 x2
Sm 0.5000 0.4268 0.2500 x2

This entry pairs a crystal structure of CaAc5Nd2Sm with its simulated X-ray powder pattern. Radiation: Cu Kα. Structure: a cell relaxed with PBE.
Lines closer than 0.1° are merged.

Most intense lines, 2θ from 10° to 90°, in order of rising 2θ:
d/Å  2θ/deg  Rel. int.  index
4.275  20.78  10  2 0 0
3.350  26.61  27  2 1 3
3.305  26.98  100  2 0 4
3.023  29.55  37  2 2 0
2.818  31.76  10  2 1 5
2.702  33.15  13  3 1 0
2.606  34.42  20  0 0 8
2.136  42.31  9  4 0 0
1.974  45.99  20  2 2 8
1.875  48.55  11  3 1 8
1.795  50.88  25  4 2 4
1.609  57.25  10  2 0 12

a b c (Å): 8.5494 8.5494 20.8443
angles (deg): 90.00 90.00 90.00
Space group I4/mcm (No. 140)
Unique sites:
Ca 0.0000 0.5000 0.2500 x4
Ac 0.0000 0.0000 0.0000 x4
Ac 0.2223 0.2777 0.1340 x16
Nd 0.1213 0.3787 0.5000 x8
Sm 0.0000 0.0000 0.2500 x4

This entry pairs a crystal structure of CaAcNi3 with its simulated X-ray powder pattern. Radiation: Cu Kα. Structure: a cell relaxed with PBE.
Lines closer than 0.1° are merged.

Most intense lines, 2θ from 10° to 90°, in order of rising 2θ:
d/Å  2θ/deg  Rel. int.  index
6.106  14.51  11  0 4 0
3.922  22.67  17  0 2 1
3.427  26.00  18  0 4 1
3.186  28.00  13  1 5 0
2.774  32.28  100  1 3 1
2.685  33.37  56  1 7 0
2.525  35.55  34  1 5 1
2.103  43.01  61  2 0 0
2.071  43.72  25  0 0 2
1.640  56.09  25  1 7 2
1.487  62.46  25  2 10 1
1.475  63.02  14  2 0 2

a b c (Å): 4.2036 24.4238 4.1410
angles (deg): 90.00 90.00 90.00
Space group Cmcm (No. 63)
Unique sites:
Ca 0.0000 0.2058 0.2500 x4
Ac 0.0000 0.0735 0.7500 x4
Ni 0.0000 0.3321 0.2500 x4
Ni 0.0000 0.3783 0.7500 x4
Ni 0.0000 0.4757 0.7500 x4

This entry pairs a crystal structure of CaAc5Ni3 with its simulated X-ray powder pattern. Radiation: Cu Kα. Structure: a cell relaxed with PBE.
Lines closer than 0.1° are merged.

Most intense lines, 2θ from 10° to 90°, in order of rising 2θ:
d/Å  2θ/deg  Rel. int.  index
4.982  17.80  24  1 0 -3
3.461  25.74  52  2 0 0
3.237  27.55  100  1 1 -3
3.213  27.76  96  1 1 3
3.162  28.22  47  1 0 -6
3.117  28.64  47  1 0 6
2.520  35.63  38  2 1 -3
2.498  35.95  32  2 1 3
2.130  42.45  32  0 2 0
2.057  44.03  53  0 1 9
1.958  46.38  28  3 1 -3
1.941  46.79  21  3 1 3

a b c (Å): 6.9224 4.2595 21.1410
angles (deg): 90.00 91.02 90.00
Space group P2/m (No. 10)
Unique sites:
Ca 0.2409 0.0000 0.2770 x2
Ac 0.2324 0.0000 0.6111 x2
Ac 0.2356 0.0000 0.9467 x2
Ac 0.2574 0.5000 0.7766 x2
Ac 0.2582 0.5000 0.4436 x2
Ac 0.2761 0.5000 0.1135 x2
Ni 0.0000 0.5000 0.0000 x1
Ni 0.0010 0.5000 0.3326 x2
Ni 0.4889 0.0000 0.8326 x2
Ni 0.5000 0.0000 0.5000 x1

This entry pairs a crystal structure of Ca3Ac3Ni4 with its simulated X-ray powder pattern. Radiation: Cu Kα. Structure: a cell relaxed with PBE.
Lines closer than 0.1° are merged.

Most intense lines, 2θ from 10° to 90°, in order of rising 2θ:
d/Å  2θ/deg  Rel. int.  index
7.916  11.18  31  0 1 1
5.674  15.62  44  0 0 2
3.958  22.46  19  0 2 2
3.578  24.88  17  0 1 3
3.503  25.43  33  0 3 1
2.899  30.84  60  1 2 2
2.740  32.69  74  1 1 3
2.705  33.11  100  1 3 1
2.523  35.58  24  0 2 4
2.483  36.17  18  0 4 2
2.129  42.45  25  2 0 0
1.932  47.03  17  0 3 5

a b c (Å): 4.2588 11.0483 11.3471
angles (deg): 90.00 90.00 90.00
Space group Amm2 (No. 38)
Unique sites:
Ca 0.0000 0.0000 0.0000 x2
Ca 0.5000 0.2397 0.0802 x4
Ac 0.0000 0.0000 0.6654 x2
Ac 0.0000 0.1714 0.3325 x4
Ni 0.5000 0.0000 0.2272 x2
Ni 0.5000 0.0000 0.4473 x2
Ni 0.5000 0.1118 0.8287 x4

This entry pairs a crystal structure of CaAcNi2P2 with its simulated X-ray powder pattern. Radiation: Cu Kα. Structure: a cell relaxed with PBE.
Lines closer than 0.1° are merged.

Most intense lines, 2θ from 10° to 90°, in order of rising 2θ:
d/Å  2θ/deg  Rel. int.  index
8.430  10.49  49  0 0 1
3.455  25.79  21  1 0 0
3.197  27.91  46  1 0 1
2.672  33.54  100  0 1 2
2.180  41.42  13  0 1 3
2.107  42.92  13  0 0 4
1.995  45.47  34  1 1 0
1.941  46.80  9  1 1 1
1.598  57.67  21  2 0 2
1.449  64.30  23  1 1 4
1.301  72.65  10  0 1 6
1.247  76.35  18  1 2 2

a b c (Å): 3.9892 3.9892 8.4295
angles (deg): 90.00 90.00 120.00
Space group P-3m1 (No. 164)
Unique sites:
Ca 0.0000 0.0000 0.0000 x1
Ac 0.0000 0.0000 0.5000 x1
Ni 0.3333 0.6667 0.2420 x2
P 0.3333 0.6667 0.7622 x2